(1)
This entry pairs a crystal structure of Cd4GeSe6 with its simulated powder diffraction line list. Radiation: Cu Ka. Structure: DFT lattice parameters and positions (GGA-PBE).

Atomic structure:
Unit cell a=7.565 b=7.565 c=13.133 alpha=107.06 beta=107.06 gamma=60.15
Element x y z (fractional)
Cd1 0.073 0.927 0.500
Cd2 0.075 0.294 0.807
Cd3 0.164 0.569 0.157
Cd4 0.294 0.075 0.307
Cd5 0.553 0.765 0.993
Cd6 0.569 0.164 0.657
Cd7 0.765 0.553 0.493
Cd8 0.927 0.073 0.000
Ge1 0.164 0.703 0.744
Ge2 0.703 0.164 0.244
Se1 0.135 0.579 0.555
Se2 0.281 0.824 0.114
Se3 0.365 0.884 0.796
Se4 0.374 0.406 0.828
Se5 0.406 0.374 0.328
Se6 0.430 0.925 0.493
Se7 0.579 0.135 0.055
Se8 0.824 0.281 0.614
Se9 0.837 0.876 0.796
Se10 0.876 0.837 0.296
Se11 0.884 0.365 0.296
Se12 0.925 0.430 0.993

Largest 10 diffraction maxima, in order of rising 2θ, 2θ = 5–70°:
d = 3.788 Å, 2θ 23.49, rel. 44
d = 3.622 Å, 2θ 24.58, rel. 100
d = 3.230 Å, 2θ 27.61, rel. 88
d = 3.222 Å, 2θ 27.68, rel. 43
d = 3.094 Å, 2θ 28.86, rel. 98
d = 3.000 Å, 2θ 29.78, rel. 37
d = 2.188 Å, 2θ 41.25, rel. 55
d = 2.180 Å, 2θ 41.41, rel. 47
d = 2.064 Å, 2θ 43.87, rel. 75
d = 2.059 Å, 2θ 43.97, rel. 47



(2)
This entry pairs a crystal structure of TmInHgO3 with its simulated powder diffraction line list. Radiation: Cu Ka. Structure: DFT lattice parameters and positions (GGA-PBE).

Atomic structure:
Unit cell a=7.271 b=7.271 c=8.251 alpha=90.00 beta=90.00 gamma=152.87
Element x y z (fractional)
Tm1 0.000 0.000 0.000
Tm2 0.000 0.000 0.500
In1 0.352 0.648 0.750
In2 0.648 0.352 0.250
Hg1 0.307 0.693 0.250
Hg2 0.693 0.307 0.750
O1 0.051 0.949 0.250
O2 0.398 0.602 0.019
O3 0.398 0.602 0.481
O4 0.602 0.398 0.519
O5 0.602 0.398 0.981
O6 0.949 0.051 0.750

Largest 10 diffraction maxima, in order of rising 2θ, 2θ = 5–70°:
d = 3.563 Å, 2θ 24.99, rel. 100
d = 2.763 Å, 2θ 32.40, rel. 97
d = 2.684 Å, 2θ 33.38, rel. 17
d = 2.584 Å, 2θ 34.71, rel. 51
d = 2.356 Å, 2θ 38.20, rel. 16
d = 2.063 Å, 2θ 43.89, rel. 26
d = 1.925 Å, 2θ 47.21, rel. 45
d = 1.705 Å, 2θ 53.75, rel. 16
d = 1.653 Å, 2θ 55.60, rel. 41
d = 1.538 Å, 2θ 60.16, rel. 18



(3)
This entry pairs a crystal structure of HoZrAlCo2 with its simulated powder diffraction line list. Radiation: Cu Ka. Structure: DFT lattice parameters and positions (GGA-PBE).

Atomic structure:
Unit cell a=5.143 b=5.143 c=5.143 alpha=133.68 beta=117.90 gamma=80.88
Element x y z (fractional)
Ho1 0.000 0.000 0.000
Zr1 0.589 0.589 0.000
Al1 0.298 0.798 0.500
Co1 0.019 0.293 0.726
Co2 0.568 0.293 0.274

Largest 10 diffraction maxima, in order of rising 2θ, 2θ = 5–70°:
d = 4.392 Å, 2θ 20.22, rel. 24
d = 3.217 Å, 2θ 27.73, rel. 63
d = 2.485 Å, 2θ 36.14, rel. 100
d = 2.342 Å, 2θ 38.45, rel. 25
d = 2.194 Å, 2θ 41.13, rel. 90
d = 2.134 Å, 2θ 42.35, rel. 46
d = 2.023 Å, 2θ 44.81, rel. 32
d = 1.620 Å, 2θ 56.82, rel. 15
d = 1.531 Å, 2θ 60.49, rel. 13
d = 1.488 Å, 2θ 62.42, rel. 27



(4)
This entry pairs a crystal structure of Ag15Pb with its simulated powder diffraction line list. Radiation: Cu Ka. Structure: DFT lattice parameters and positions (GGA-PBE).

Atomic structure:
Unit cell a=5.811 b=2.940 c=43.851 alpha=90.00 beta=90.03 gamma=90.00
Element x y z (fractional)
Ag1 0.120 0.250 0.308
Ag2 0.125 0.250 0.024
Ag3 0.125 0.250 0.118
Ag4 0.125 0.250 0.213
Ag5 0.125 0.250 0.740
Ag6 0.125 0.250 0.835
Ag7 0.125 0.250 0.929
Ag8 0.372 0.750 0.692
Ag9 0.374 0.750 0.260
Ag10 0.374 0.750 0.354
Ag11 0.375 0.750 0.071
Ag12 0.375 0.750 0.165
Ag13 0.375 0.750 0.787
Ag14 0.375 0.750 0.882
Ag15 0.375 0.750 0.977
Ag16 0.625 0.250 0.023
Ag17 0.625 0.250 0.118
Ag18 0.625 0.250 0.213
Ag19 0.625 0.250 0.835
Ag20 0.625 0.250 0.929
Ag21 0.626 0.250 0.646
Ag22 0.626 0.250 0.740
Ag23 0.628 0.250 0.308
Ag24 0.875 0.750 0.071
Ag25 0.875 0.750 0.165
Ag26 0.875 0.750 0.260
Ag27 0.875 0.750 0.787
Ag28 0.875 0.750 0.882
Ag29 0.875 0.750 0.976
Ag30 0.880 0.750 0.692
Pb1 0.126 0.250 0.634
Pb2 0.874 0.750 0.366

Largest 10 diffraction maxima, in order of rising 2θ, 2θ = 5–70°:
d = 14.617 Å, 2θ 6.05, rel. 84
d = 10.963 Å, 2θ 8.06, rel. 9
d = 2.442 Å, 2θ 36.81, rel. 87
d = 2.422 Å, 2θ 37.12, rel. 84
d = 2.366 Å, 2θ 38.03, rel. 76
d = 2.348 Å, 2θ 38.34, rel. 73
d = 2.088 Å, 2θ 43.33, rel. 38
d = 2.066 Å, 2θ 43.81, rel. 100
d = 1.469 Å, 2θ 63.30, rel. 63
d = 1.453 Å, 2θ 64.11, rel. 15



(5)
This entry pairs a crystal structure of Cu4Ag3 with its simulated powder diffraction line list. Radiation: Cu Ka. Structure: DFT lattice parameters and positions (GGA-PBE).

Atomic structure:
Unit cell a=4.787 b=4.787 c=7.998 alpha=93.81 beta=93.81 gamma=33.54
Element x y z (fractional)
Cu1 0.157 0.157 0.083
Cu2 0.281 0.281 0.642
Cu3 0.719 0.719 0.358
Cu4 0.843 0.843 0.917
Ag1 0.000 0.000 0.500
Ag2 0.434 0.434 0.195
Ag3 0.566 0.566 0.805

Largest 10 diffraction maxima, in order of rising 2θ, 2θ = 5–70°:
d = 2.660 Å, 2θ 33.70, rel. 8
d = 2.239 Å, 2θ 40.28, rel. 50
d = 2.233 Å, 2θ 40.40, rel. 49
d = 2.225 Å, 2θ 40.55, rel. 100
d = 1.961 Å, 2θ 46.30, rel. 67
d = 1.877 Å, 2θ 48.51, rel. 27
d = 1.392 Å, 2θ 67.26, rel. 9
d = 1.381 Å, 2θ 67.86, rel. 10
d = 1.357 Å, 2θ 69.22, rel. 17
d = 1.354 Å, 2θ 69.39, rel. 16



(6)
This entry pairs a crystal structure of LaPr2Ni2B2N3 with its simulated powder diffraction line list. Radiation: Cu Ka. Structure: DFT lattice parameters and positions (GGA-PBE).

Atomic structure:
Unit cell a=10.501 b=10.501 c=10.501 alpha=159.79 beta=159.79 gamma=28.74
Element x y z (fractional)
La1 0.000 0.000 0.000
Pr1 0.372 0.372 0.000
Pr2 0.628 0.628 0.000
Ni1 0.250 0.750 0.500
Ni2 0.750 0.250 0.500
B1 0.196 0.196 0.000
B2 0.804 0.804 0.000
N1 0.125 0.125 0.000
N2 0.500 0.500 0.000
N3 0.875 0.875 0.000

Largest 10 diffraction maxima, in order of rising 2θ, 2θ = 5–70°:
d = 3.238 Å, 2θ 27.55, rel. 100
d = 2.731 Å, 2θ 32.79, rel. 64
d = 2.606 Å, 2θ 34.41, rel. 38
d = 2.543 Å, 2θ 35.29, rel. 48
d = 2.524 Å, 2θ 35.56, rel. 38
d = 2.319 Å, 2θ 38.83, rel. 37
d = 2.066 Å, 2θ 43.81, rel. 32
d = 1.843 Å, 2θ 49.46, rel. 40
d = 1.602 Å, 2θ 57.53, rel. 35
d = 1.492 Å, 2θ 62.22, rel. 35



(7)
This entry pairs a crystal structure of Rb2NdTmS4 with its simulated powder diffraction line list. Radiation: Cu Ka. Structure: DFT lattice parameters and positions (GGA-PBE).

Atomic structure:
Unit cell a=4.111 b=4.111 c=15.383 alpha=90.00 beta=90.00 gamma=120.00
Element x y z (fractional)
Rb1 0.333 0.667 0.245
Rb2 0.667 0.333 0.755
Nd1 0.000 0.000 0.500
Tm1 0.000 0.000 0.000
S1 0.333 0.667 0.602
S2 0.333 0.667 0.908
S3 0.667 0.333 0.092
S4 0.667 0.333 0.398

Largest 10 diffraction maxima, in order of rising 2θ, 2θ = 5–70°:
d = 7.691 Å, 2θ 11.51, rel. 31
d = 3.846 Å, 2θ 23.13, rel. 26
d = 3.231 Å, 2θ 27.61, rel. 100
d = 2.924 Å, 2θ 30.57, rel. 38
d = 2.613 Å, 2θ 34.32, rel. 31
d = 2.080 Å, 2θ 43.50, rel. 42
d = 2.056 Å, 2θ 44.05, rel. 37
d = 1.813 Å, 2θ 50.33, rel. 21
d = 1.734 Å, 2θ 52.78, rel. 17
d = 1.404 Å, 2θ 66.60, rel. 15



(8)
This entry pairs a crystal structure of TaCdBF10 with its simulated powder diffraction line list. Radiation: Cu Ka. Structure: DFT lattice parameters and positions (GGA-PBE).

Atomic structure:
Unit cell a=7.990 b=9.133 c=8.467 alpha=90.00 beta=94.80 gamma=90.00
Element x y z (fractional)
Ta1 0.158 0.069 0.243
Ta2 0.158 0.431 0.743
Ta3 0.842 0.569 0.257
Ta4 0.842 0.931 0.757
Cd1 0.333 0.029 0.723
Cd2 0.333 0.471 0.223
Cd3 0.667 0.529 0.777
Cd4 0.667 0.971 0.277
B1 0.420 0.732 0.494
B2 0.420 0.768 0.994
B3 0.580 0.232 0.006
B4 0.580 0.268 0.506
F1 0.069 0.575 0.202
F2 0.069 0.925 0.702
F3 0.109 0.096 0.023
F4 0.109 0.404 0.523
F5 0.150 0.635 0.746
F6 0.150 0.865 0.246
F7 0.162 0.217 0.747
F8 0.162 0.283 0.247
F9 0.225 0.081 0.469
F10 0.225 0.419 0.969
F11 0.310 0.621 0.434
F12 0.310 0.879 0.934
F13 0.334 0.687 0.101
F14 0.334 0.813 0.601
F15 0.396 0.067 0.219
F16 0.396 0.433 0.719
F17 0.434 0.170 0.932
F18 0.434 0.330 0.432
F19 0.466 0.675 0.873
F20 0.466 0.825 0.373
F21 0.534 0.175 0.627
F22 0.534 0.325 0.127
F23 0.566 0.670 0.568
F24 0.566 0.830 0.068
F25 0.604 0.567 0.281
F26 0.604 0.933 0.781
F27 0.666 0.187 0.399
F28 0.666 0.313 0.899
F29 0.690 0.121 0.066
F30 0.690 0.379 0.566
F31 0.775 0.581 0.031
F32 0.775 0.919 0.531
F33 0.838 0.717 0.753
F34 0.838 0.783 0.253
F35 0.850 0.135 0.754
F36 0.850 0.365 0.254
F37 0.891 0.596 0.477
F38 0.891 0.904 0.977
F39 0.931 0.075 0.298
F40 0.931 0.425 0.798

Largest 10 diffraction maxima, in order of rising 2θ, 2θ = 5–70°:
d = 6.002 Å, 2θ 14.76, rel. 30
d = 4.567 Å, 2θ 19.44, rel. 60
d = 4.219 Å, 2θ 21.06, rel. 100
d = 3.647 Å, 2θ 24.41, rel. 28
d = 3.447 Å, 2θ 25.85, rel. 98
d = 3.260 Å, 2θ 27.36, rel. 62
d = 3.099 Å, 2θ 28.81, rel. 56
d = 2.844 Å, 2θ 31.46, rel. 39
d = 2.110 Å, 2θ 42.87, rel. 25
d = 1.930 Å, 2θ 47.09, rel. 25



(9)
This entry pairs a crystal structure of LaSiGe2Os with its simulated powder diffraction line list. Radiation: Cu Ka. Structure: DFT lattice parameters and positions (GGA-PBE).

Atomic structure:
Unit cell a=5.936 b=5.936 c=5.936 alpha=136.20 beta=136.20 gamma=63.67
Element x y z (fractional)
La1 0.000 0.000 0.000
Si1 0.574 0.574 0.000
Ge1 0.237 0.737 0.500
Ge2 0.737 0.237 0.500
Os1 0.346 0.346 0.000

Largest 10 diffraction maxima, in order of rising 2θ, 2θ = 5–70°:
d = 5.043 Å, 2θ 17.59, rel. 23
d = 4.055 Å, 2θ 21.92, rel. 57
d = 3.131 Å, 2θ 28.51, rel. 31
d = 2.678 Å, 2θ 33.46, rel. 100
d = 2.660 Å, 2θ 33.69, rel. 87
d = 2.214 Å, 2θ 40.76, rel. 75
d = 1.964 Å, 2θ 46.22, rel. 26
d = 1.706 Å, 2θ 53.72, rel. 53
d = 1.566 Å, 2θ 59.00, rel. 25
d = 1.481 Å, 2θ 62.73, rel. 28



(10)
This entry pairs a crystal structure of Dy3Al2Ni6H9 with its simulated powder diffraction line list. Radiation: Cu Ka. Structure: DFT lattice parameters and positions (GGA-PBE).

Atomic structure:
Unit cell a=7.928 b=7.928 c=7.928 alpha=109.47 beta=109.47 gamma=109.47
Element x y z (fractional)
Dy1 0.000 0.270 0.270
Dy2 0.000 0.730 0.730
Dy3 0.270 0.000 0.270
Dy4 0.270 0.270 0.000
Dy5 0.730 0.000 0.730
Dy6 0.730 0.730 0.000
Al1 0.000 0.000 0.500
Al2 0.000 0.500 0.000
Al3 0.500 0.000 0.000
Al4 0.500 0.500 0.500
Ni1 0.000 0.338 0.662
Ni2 0.000 0.662 0.338
Ni3 0.324 0.662 0.662
Ni4 0.338 0.000 0.662
Ni5 0.338 0.338 0.676
Ni6 0.338 0.662 0.000
Ni7 0.338 0.676 0.338
Ni8 0.662 0.000 0.338
Ni9 0.662 0.324 0.662
Ni10 0.662 0.338 0.000
Ni11 0.662 0.662 0.324
Ni12 0.676 0.338 0.338
H1 0.000 0.000 0.000
H2 0.000 0.000 0.265
H3 0.000 0.000 0.735
H4 0.000 0.265 0.000
H5 0.000 0.500 0.500
H6 0.000 0.735 0.000
H7 0.250 0.500 0.750
H8 0.250 0.750 0.500
H9 0.265 0.000 0.000
H10 0.265 0.265 0.265
H11 0.500 0.000 0.500
H12 0.500 0.250 0.750
H13 0.500 0.500 0.000
H14 0.500 0.750 0.250
H15 0.735 0.000 0.000
H16 0.735 0.735 0.735
H17 0.750 0.250 0.500
H18 0.750 0.500 0.250

Largest 10 diffraction maxima, in order of rising 2θ, 2θ = 5–70°:
d = 3.737 Å, 2θ 23.81, rel. 15
d = 3.236 Å, 2θ 27.56, rel. 20
d = 2.895 Å, 2θ 30.89, rel. 30
d = 2.643 Å, 2θ 33.92, rel. 44
d = 2.447 Å, 2θ 36.73, rel. 48
d = 2.289 Å, 2θ 39.37, rel. 27
d = 2.158 Å, 2θ 41.87, rel. 100
d = 1.526 Å, 2θ 60.70, rel. 13
d = 1.485 Å, 2θ 62.55, rel. 24
d = 1.380 Å, 2θ 67.92, rel. 29



(11)
This entry pairs a crystal structure of PrYCu2SiGe with its simulated powder diffraction line list. Radiation: Cu Ka. Structure: DFT lattice parameters and positions (GGA-PBE).

Atomic structure:
Unit cell a=4.217 b=4.217 c=7.773 alpha=90.00 beta=90.00 gamma=120.00
Element x y z (fractional)
Pr1 0.000 0.000 0.000
Y1 0.000 0.000 0.496
Cu1 0.333 0.667 0.261
Cu2 0.667 0.333 0.735
Si1 0.667 0.333 0.258
Ge1 0.333 0.667 0.737

Largest 10 diffraction maxima, in order of rising 2θ, 2θ = 5–70°:
d = 7.773 Å, 2θ 11.38, rel. 4
d = 3.652 Å, 2θ 24.37, rel. 13
d = 3.306 Å, 2θ 26.97, rel. 7
d = 2.661 Å, 2θ 33.67, rel. 100
d = 2.109 Å, 2θ 42.89, rel. 46
d = 1.943 Å, 2θ 46.75, rel. 11
d = 1.715 Å, 2θ 53.41, rel. 3
d = 1.653 Å, 2θ 55.61, rel. 23
d = 1.635 Å, 2θ 56.25, rel. 3
d = 1.429 Å, 2θ 65.29, rel. 25